(1)
# Ca2MnN3
Theoretical powder XRD pattern, CuKα. Input: a DFT-relaxed cell (PBE, Alexandria).

Main lines, by angle (2θ from 10° to 90°):
Position (°2θ)  I/Imax  index
16.9  33.6  0 2 0
30.8  27.8  0 0 4
31.4  21.6  1 3 1
32.9  87.9  2 0 0
34.2  100.0  1 3 2
36.1  40.9  1 1 4
42.6  22.3  0 2 5
45.7  30.2  2 0 4

Structure:
```
data_Ca2MnN3
_space_group_name_H-M_alt 'C m c e'
_space_group_IT_number 64
_space_group_name_Hall '-C 2ac 2'
_cell_length_a 5.449
_cell_length_b 10.483
_cell_length_c 11.608
_cell_angle_alpha 90.00
_cell_angle_beta 90.00
_cell_angle_gamma 90.00
loop_
_atom_site_label
_atom_site_type_symbol
_atom_site_fract_x
_atom_site_fract_y
_atom_site_fract_z
Ca1 Ca 0.000 0.051 0.144
Ca2 Ca 0.000 0.140 0.577
Mn1 Mn 0.000 0.246 0.339
N1 N 0.000 0.079 0.365
N2 N 0.000 0.157 0.962
N3 N 0.250 0.214 0.750
```


(2)
# Ca7Mn2N6
Theoretical powder XRD pattern, CuKα. Input: a DFT-relaxed cell (PBE, Alexandria).

Main lines, by angle (2θ from 10° to 90°):
Position (°2θ)  I/Imax  index
31.0  100.0  1 3 1
32.2  59.9  2 2 -1
33.7  60.1  1 1 -2
37.4  47.9  3 1 0
40.5  43.7  2 0 2
42.6  47.8  2 4 -1
47.9  27.4  0 6 0
57.8  17.1  0 4 3

Structure:
```
data_Ca7Mn2N6
_space_group_name_H-M_alt 'C 1 2/m 1'
_space_group_IT_number 12
_space_group_name_Hall '-C 2y'
_cell_length_a 7.391
_cell_length_b 11.394
_cell_length_c 5.786
_cell_angle_alpha 90.00
_cell_angle_beta 92.72
_cell_angle_gamma 90.00
loop_
_atom_site_label
_atom_site_type_symbol
_atom_site_fract_x
_atom_site_fract_y
_atom_site_fract_z
Ca1 Ca 0.000 0.000 0.000
Ca2 Ca 0.000 0.151 0.500
Ca3 Ca 0.147 0.345 0.820
Mn1 Mn 0.184 0.500 0.369
N1 N 0.180 0.000 0.336
N2 N 0.197 0.342 0.248
```


(3)
# CaPaMnN4
Theoretical powder XRD pattern, CuKα. Input: a DFT-relaxed cell (PBE, Alexandria).

Main lines, by angle (2θ from 10° to 90°):
Position (°2θ)  I/Imax  index
13.4  100.0  0 0 1
21.5  27.5  0 1 1
23.4  53.9  1 1 0
29.4  23.8  1 1 1
32.0  27.5  0 1 2
32.2  26.1  1 1 -2
33.8  29.9  0 2 0
39.7  27.0  1 1 2

Structure:
```
data_CaPaMnN4
_space_group_name_H-M_alt 'P 1 21/m 1'
_space_group_IT_number 11
_space_group_name_Hall '-P 2yb'
_cell_length_a 5.679
_cell_length_b 5.305
_cell_length_c 6.876
_cell_angle_alpha 90.00
_cell_angle_beta 106.76
_cell_angle_gamma 90.00
loop_
_atom_site_label
_atom_site_type_symbol
_atom_site_fract_x
_atom_site_fract_y
_atom_site_fract_z
Ca1 Ca 0.182 0.250 0.414
Pa1 Pa 0.261 0.250 0.939
Mn1 Mn 0.278 0.750 0.202
N1 N 0.055 0.750 0.342
N2 N 0.083 0.750 0.946
N3 N 0.479 0.501 0.216
```